[1]
Simulated powder XRD pattern
Compound: CePr2Mg
Radiation: Cu Kα (weighted mean of Kα1 and Kα2)
Structure: the GGA-PBE geometry in Alexandria

Structural model:
a b c (Å): 3.5542 3.5542 34.7435
angles (deg): 90.00 90.00 120.00
Fractional coordinates of all 12 atoms:
Ce 0.0000 0.0000 0.0000
Ce 0.3333 0.6667 0.6667
Ce 0.6667 0.3333 0.3333
Pr 0.0000 0.0000 0.5819
Pr 0.0000 0.0000 0.7524
Pr 0.3333 0.6667 0.2486
Pr 0.3333 0.6667 0.4191
Pr 0.6667 0.3333 0.0858
Pr 0.6667 0.3333 0.9152
Mg 0.0000 0.0000 0.1672
Mg 0.3333 0.6667 0.8338
Mg 0.6667 0.3333 0.5005

Largest 8 diffraction maxima, in order of rising 2θ, 5° ≤ 2θ ≤ 70°:
| 2θ/deg | d (Å) | I/Imax |
| --- | --- | --- |
| 7.63 | 11.581 | 637 |
| 29.13 | 3.066 | 335 |
| 30.86 | 2.898 | 938 |
| 31.80 | 2.814 | 1000 |
| 34.28 | 2.616 | 718 |
| 51.44 | 1.776 | 500 |
| 53.85 | 1.703 | 247 |
| 61.19 | 1.515 | 498 |



[2]
Simulated powder XRD pattern
Compound: CePr14Mg
Radiation: Cu Kα (weighted mean of Kα1 and Kα2)
Structure: the GGA-PBE geometry in Alexandria

Structural model:
a b c (Å): 7.3267 7.3267 10.4295
angles (deg): 90.00 90.00 90.00
Fractional coordinates of all 16 atoms:
Ce 0.0000 0.0000 0.0000
Pr 0.0000 0.0000 0.5000
Pr 0.0000 0.5000 0.0000
Pr 0.0000 0.5000 0.5000
Pr 0.2499 0.2499 0.2448
Pr 0.2499 0.2499 0.7552
Pr 0.2499 0.7501 0.2448
Pr 0.2499 0.7501 0.7552
Pr 0.5000 0.0000 0.0000
Pr 0.5000 0.0000 0.5000
Pr 0.5000 0.5000 0.5000
Pr 0.7501 0.2499 0.2448
Pr 0.7501 0.2499 0.7552
Pr 0.7501 0.7501 0.2448
Pr 0.7501 0.7501 0.7552
Mg 0.5000 0.5000 0.0000

Largest 8 diffraction maxima, in order of rising 2θ, 5° ≤ 2θ ≤ 70°:
| 2θ/deg | d (Å) | I/Imax |
| --- | --- | --- |
| 29.81 | 2.998 | 1000 |
| 34.40 | 2.607 | 170 |
| 34.63 | 2.590 | 337 |
| 49.61 | 1.838 | 241 |
| 49.78 | 1.832 | 120 |
| 58.80 | 1.570 | 143 |
| 59.11 | 1.563 | 286 |
| 61.91 | 1.499 | 123 |



[3]
Simulated powder XRD pattern
Compound: CePr3Mg4
Radiation: Cu Kα (weighted mean of Kα1 and Kα2)
Structure: the GGA-PBE geometry in Alexandria

Structural model:
a b c (Å): 3.8847 5.5150 11.0327
angles (deg): 90.00 90.00 90.00
Fractional coordinates of all 8 atoms:
Ce 0.0000 0.0000 0.0000
Pr 0.0000 0.0000 0.5000
Pr 0.0000 0.5000 0.2473
Pr 0.0000 0.5000 0.7527
Mg 0.5000 0.0000 0.2488
Mg 0.5000 0.0000 0.7512
Mg 0.5000 0.5000 0.0000
Mg 0.5000 0.5000 0.5000

Largest 8 diffraction maxima, in order of rising 2θ, 5° ≤ 2θ ≤ 70°:
| 2θ/deg | d (Å) | I/Imax |
| --- | --- | --- |
| 22.83 | 3.895 | 580 |
| 32.51 | 2.754 | 1000 |
| 40.10 | 2.249 | 179 |
| 46.57 | 1.950 | 122 |
| 52.48 | 1.744 | 165 |
| 52.64 | 1.739 | 82 |
| 57.96 | 1.591 | 252 |
| 58.09 | 1.588 | 125 |



[4]
Simulated powder XRD pattern
Compound: Ce2Mg2Pt15
Radiation: Cu Kα (weighted mean of Kα1 and Kα2)
Structure: the GGA-PBE geometry in Alexandria

Structural model:
a b c (Å): 7.0207 7.0207 7.0207
angles (deg): 82.56 82.56 82.56
Fractional coordinates of all 19 atoms:
Ce 0.1491 0.1491 0.1491
Ce 0.8509 0.8509 0.8509
Mg 0.3979 0.3979 0.3979
Mg 0.6021 0.6021 0.6021
Pt 0.0000 0.5000 0.5000
Pt 0.1560 0.1560 0.6590
Pt 0.1560 0.6590 0.1560
Pt 0.1860 0.5000 0.8140
Pt 0.1860 0.8140 0.5000
Pt 0.3410 0.8440 0.8440
Pt 0.5000 0.0000 0.5000
Pt 0.5000 0.1860 0.8140
Pt 0.5000 0.5000 0.0000
Pt 0.5000 0.8140 0.1860
Pt 0.6590 0.1560 0.1560
Pt 0.8140 0.1860 0.5000
Pt 0.8140 0.5000 0.1860
Pt 0.8440 0.3410 0.8440
Pt 0.8440 0.8440 0.3410

Largest 8 diffraction maxima, in order of rising 2θ, 5° ≤ 2θ ≤ 70°:
| 2θ/deg | d (Å) | I/Imax |
| --- | --- | --- |
| 19.16 | 4.632 | 527 |
| 38.89 | 2.316 | 314 |
| 39.07 | 2.305 | 1000 |
| 39.63 | 2.274 | 389 |
| 43.87 | 2.064 | 798 |
| 44.38 | 2.041 | 168 |
| 56.73 | 1.623 | 154 |
| 63.65 | 1.462 | 218 |



[5]
Simulated powder XRD pattern
Compound: Ce2MgPt3
Radiation: Cu Kα (weighted mean of Kα1 and Kα2)
Structure: the GGA-PBE geometry in Alexandria

Structural model:
a b c (Å): 8.9166 8.2831 6.0444
angles (deg): 75.16 63.89 40.94
Fractional coordinates of all 12 atoms:
Ce 0.2500 0.2500 0.2500
Ce 0.2498 0.7502 0.7502
Ce 0.7502 0.2498 0.2498
Ce 0.7500 0.7500 0.7500
Mg 0.1752 0.1752 0.8248
Mg 0.8248 0.8248 0.1752
Pt 0.1378 0.6764 0.3236
Pt 0.3236 0.8622 0.1378
Pt 0.3461 0.3461 0.6539
Pt 0.6539 0.6539 0.3461
Pt 0.6764 0.1378 0.8622
Pt 0.8622 0.3236 0.6764

Largest 8 diffraction maxima, in order of rising 2θ, 5° ≤ 2θ ≤ 70°:
| 2θ/deg | d (Å) | I/Imax |
| --- | --- | --- |
| 23.60 | 3.770 | 212 |
| 33.29 | 2.691 | 1000 |
| 34.71 | 2.585 | 837 |
| 36.92 | 2.435 | 512 |
| 40.70 | 2.217 | 756 |
| 51.01 | 1.790 | 227 |
| 51.57 | 1.772 | 501 |
| 67.22 | 1.393 | 346 |



[6]
Simulated powder XRD pattern
Compound: Ce4MgPt2
Radiation: Cu Kα (weighted mean of Kα1 and Kα2)
Structure: the GGA-PBE geometry in Alexandria

Structural model:
a b c (Å): 8.8473 8.8473 8.8473
angles (deg): 33.45 33.45 33.45
Fractional coordinates of all 7 atoms:
Ce 0.1001 0.1001 0.1001
Ce 0.2818 0.2818 0.2818
Ce 0.7182 0.7182 0.7182
Ce 0.8999 0.8999 0.8999
Mg 0.5000 0.5000 0.5000
Pt 0.3962 0.3962 0.3962
Pt 0.6038 0.6038 0.6038

Largest 8 diffraction maxima, in order of rising 2θ, 5° ≤ 2θ ≤ 70°:
| 2θ/deg | d (Å) | I/Imax |
| --- | --- | --- |
| 10.60 | 8.345 | 191 |
| 21.30 | 4.172 | 394 |
| 24.70 | 3.605 | 273 |
| 35.25 | 2.546 | 1000 |
| 41.52 | 2.175 | 807 |
| 55.53 | 1.655 | 194 |
| 63.26 | 1.470 | 199 |
| 67.51 | 1.387 | 201 |



[7]
Simulated powder XRD pattern
Compound: Ce5MgPt5
Radiation: Cu Kα (weighted mean of Kα1 and Kα2)
Structure: the GGA-PBE geometry in Alexandria

Structural model:
a b c (Å): 7.0428 7.0428 8.1761
angles (deg): 107.13 107.13 47.98
Fractional coordinates of all 11 atoms:
Ce 0.0000 0.0000 0.0000
Ce 0.3262 0.3262 0.1720
Ce 0.3343 0.3343 0.6633
Ce 0.6657 0.6657 0.3367
Ce 0.6738 0.6738 0.8280
Mg 0.0000 0.0000 0.5000
Pt 0.1584 0.1584 0.3354
Pt 0.1636 0.1636 0.8286
Pt 0.5000 0.5000 0.5000
Pt 0.8364 0.8364 0.1714
Pt 0.8416 0.8416 0.6646

Largest 8 diffraction maxima, in order of rising 2θ, 5° ≤ 2θ ≤ 70°:
| 2θ/deg | d (Å) | I/Imax |
| --- | --- | --- |
| 30.96 | 2.888 | 905 |
| 31.12 | 2.874 | 911 |
| 31.24 | 2.864 | 906 |
| 44.32 | 2.044 | 343 |
| 44.58 | 2.032 | 1000 |
| 44.67 | 2.028 | 679 |
| 55.21 | 1.664 | 372 |
| 55.48 | 1.656 | 348 |



[8]
Simulated powder XRD pattern
Compound: CeMg2Pt2
Radiation: Cu Kα (weighted mean of Kα1 and Kα2)
Structure: the GGA-PBE geometry in Alexandria

Structural model:
a b c (Å): 6.8020 6.8020 8.2846
angles (deg): 90.00 90.00 146.66
Fractional coordinates of all 10 atoms:
Ce 0.0898 0.9102 0.5000
Ce 0.9102 0.0898 0.0000
Mg 0.1827 0.8173 0.1215
Mg 0.3727 0.6273 0.3625
Mg 0.6273 0.3727 0.8625
Mg 0.8173 0.1827 0.6215
Pt 0.2725 0.7275 0.8369
Pt 0.4644 0.5356 0.6719
Pt 0.5356 0.4644 0.1719
Pt 0.7275 0.2725 0.3369

Largest 8 diffraction maxima, in order of rising 2θ, 5° ≤ 2θ ≤ 70°:
| 2θ/deg | d (Å) | I/Imax |
| --- | --- | --- |
| 17.31 | 5.122 | 487 |
| 25.48 | 3.496 | 863 |
| 26.15 | 3.407 | 533 |
| 32.26 | 2.775 | 737 |
| 32.69 | 2.740 | 1000 |
| 37.84 | 2.377 | 412 |
| 43.11 | 2.098 | 719 |
| 46.55 | 1.951 | 330 |



[9]
Simulated powder XRD pattern
Compound: Ce2MgPt7
Radiation: Cu Kα (weighted mean of Kα1 and Kα2)
Structure: the GGA-PBE geometry in Alexandria

Structural model:
a b c (Å): 3.9193 3.9193 12.7807
angles (deg): 90.00 90.00 90.00
Fractional coordinates of all 10 atoms:
Ce 0.0000 0.5000 0.2328
Ce 0.5000 0.0000 0.7672
Mg 0.0000 0.0000 0.5000
Pt 0.0000 0.0000 0.0000
Pt 0.0000 0.5000 0.6476
Pt 0.0000 0.5000 0.8506
Pt 0.5000 0.0000 0.1494
Pt 0.5000 0.0000 0.3524
Pt 0.5000 0.5000 0.0000
Pt 0.5000 0.5000 0.5000

Largest 8 diffraction maxima, in order of rising 2θ, 5° ≤ 2θ ≤ 70°:
| 2θ/deg | d (Å) | I/Imax |
| --- | --- | --- |
| 6.92 | 12.781 | 303 |
| 23.75 | 3.747 | 319 |
| 31.00 | 2.884 | 352 |
| 35.30 | 2.543 | 1000 |
| 42.21 | 2.141 | 529 |
| 43.21 | 2.094 | 465 |
| 46.33 | 1.960 | 531 |
| 64.46 | 1.446 | 306 |



[10]
Simulated powder XRD pattern
Compound: Ce2MgPtRh5
Radiation: Cu Kα (weighted mean of Kα1 and Kα2)
Structure: the GGA-PBE geometry in Alexandria

Structural model:
a b c (Å): 7.8319 7.8319 7.8319
angles (deg): 118.32 118.32 92.93
Fractional coordinates of all 18 atoms:
Ce 0.1379 0.6379 0.7757
Ce 0.3621 0.1379 0.5000
Ce 0.6379 0.8621 0.5000
Ce 0.8621 0.3621 0.2243
Mg 0.2500 0.2500 0.0000
Mg 0.7500 0.7500 0.0000
Pt 0.2500 0.7500 0.5000
Pt 0.7500 0.2500 0.5000
Rh 0.0000 0.0000 0.0000
Rh 0.0650 0.1609 0.5000
Rh 0.1609 0.6609 0.0958
Rh 0.3391 0.4350 0.5000
Rh 0.4350 0.9350 0.0958
Rh 0.5000 0.5000 0.0000
Rh 0.5650 0.0650 0.9042
Rh 0.6609 0.5650 0.5000
Rh 0.8391 0.3391 0.9042
Rh 0.9350 0.8391 0.5000

Largest 8 diffraction maxima, in order of rising 2θ, 5° ≤ 2θ ≤ 70°:
| 2θ/deg | d (Å) | I/Imax |
| --- | --- | --- |
| 15.61 | 5.678 | 446 |
| 31.51 | 2.839 | 715 |
| 35.32 | 2.541 | 1000 |
| 39.21 | 2.297 | 699 |
| 40.28 | 2.239 | 713 |
| 53.50 | 1.713 | 264 |
| 62.10 | 1.495 | 249 |
| 63.39 | 1.467 | 247 |



[11]
Simulated powder XRD pattern
Compound: Ce3Mg7Rh4
Radiation: Cu Kα (weighted mean of Kα1 and Kα2)
Structure: the GGA-PBE geometry in Alexandria

Structural model:
a b c (Å): 8.4204 8.4204 10.8885
angles (deg): 121.35 121.35 26.97
Fractional coordinates of all 14 atoms:
Ce 0.0000 0.0000 0.0000
Ce 0.2938 0.2938 0.2752
Ce 0.7062 0.7062 0.7248
Mg 0.0000 0.0000 0.5000
Mg 0.1706 0.1706 0.4362
Mg 0.3252 0.3252 0.9998
Mg 0.4873 0.4873 0.7131
Mg 0.5127 0.5127 0.2869
Mg 0.6748 0.6748 0.0002
Mg 0.8294 0.8294 0.5638
Rh 0.1193 0.1193 0.7963
Rh 0.3355 0.3355 0.7524
Rh 0.6645 0.6645 0.2476
Rh 0.8807 0.8807 0.2037

Largest 8 diffraction maxima, in order of rising 2θ, 5° ≤ 2θ ≤ 70°:
| 2θ/deg | d (Å) | I/Imax |
| --- | --- | --- |
| 16.47 | 5.381 | 430 |
| 19.30 | 4.599 | 778 |
| 29.89 | 2.990 | 415 |
| 32.81 | 2.730 | 464 |
| 33.85 | 2.648 | 841 |
| 34.62 | 2.591 | 486 |
| 35.77 | 2.511 | 1000 |
| 46.24 | 1.963 | 406 |



[12]
Simulated powder XRD pattern
Compound: CeMg11Rh
Radiation: Cu Kα (weighted mean of Kα1 and Kα2)
Structure: the GGA-PBE geometry in Alexandria

Structural model:
a b c (Å): 7.7113 7.7113 7.6877
angles (deg): 97.40 97.40 137.11
Fractional coordinates of all 13 atoms:
Ce 0.0000 0.0000 0.0000
Mg 0.0000 0.0000 0.5000
Mg 0.0000 0.5000 0.0000
Mg 0.0287 0.3618 0.3622
Mg 0.3025 0.5063 0.7776
Mg 0.3618 0.0287 0.3622
Mg 0.4937 0.6975 0.2224
Mg 0.5000 0.0000 0.0000
Mg 0.5063 0.3025 0.7776
Mg 0.6382 0.9713 0.6378
Mg 0.6975 0.4937 0.2224
Mg 0.9713 0.6382 0.6378
Rh 0.5000 0.5000 0.5000

Largest 8 diffraction maxima, in order of rising 2θ, 5° ≤ 2θ ≤ 70°:
| 2θ/deg | d (Å) | I/Imax |
| --- | --- | --- |
| 12.33 | 7.177 | 1000 |
| 18.08 | 4.907 | 772 |
| 30.64 | 2.918 | 555 |
| 35.33 | 2.540 | 849 |
| 35.67 | 2.517 | 513 |
| 35.80 | 2.508 | 447 |
| 36.27 | 2.477 | 538 |
| 36.62 | 2.454 | 456 |